Entry 1:
Simulated powder diffraction line list of TaC for Cu Kα, from a crystal structure in Alexandria, relaxed with GGA-PBE.
Kinematic intensities with the Lorentz-polarization factor, no thermal factor.

Principal peaks in the range 10° ≤ 2θ ≤ 90°, sorted by position:
2θ/deg	I/Imax
27.7	38
34.5	100
40.8	18
49.1	31
50.0	15
57.3	5
61.4	20
65.6	26
70.2	13
82.3	18

a b c (Å): 3.7124 3.7124 4.4283
angles (deg): 90.00 90.00 120.00
Space group P6_3/mmc (No. 194)
Symmetry-distinct sites (fractional):
Ta 0.3333 0.6667 0.2500 (multiplicity 2)
C 0.3333 0.6667 0.7500 (multiplicity 2)



Entry 2:
Simulated powder diffraction line list of K2Zn3GeAs4 for Cu Kα, from a crystal structure in Alexandria, relaxed with GGA-PBE.
Kinematic intensities with the Lorentz-polarization factor, no thermal factor.

Principal peaks in the range 10° ≤ 2θ ≤ 90°, sorted by position:
2θ/deg	I/Imax
12.2	100
28.4	97
33.1	46
39.7	72
43.9	51
48.9	51
53.2	31
69.0	17
77.9	19
84.4	19

a b c (Å): 5.8324 14.5073 5.8290
angles (deg): 90.00 90.00 90.00
Space group C222 (No. 21)
Symmetry-distinct sites (fractional):
K 0.2500 0.2500 0.2469 (multiplicity 4)
Zn 0.0000 0.0000 0.0000 (multiplicity 2)
Zn 0.0000 0.0000 0.5000 (multiplicity 2)
Zn 0.0000 0.5000 0.5000 (multiplicity 2)
Ge 0.0000 0.5000 0.0000 (multiplicity 2)
As 0.2426 0.3927 0.7567 (multiplicity 8)



Entry 3:
Simulated powder diffraction line list of La4Bi2C for Cu Kα, from a crystal structure in Alexandria, relaxed with GGA-PBE.
Kinematic intensities with the Lorentz-polarization factor, no thermal factor.

Principal peaks in the range 10° ≤ 2θ ≤ 90°, sorted by position:
2θ/deg	I/Imax
18.1	29
26.7	60
26.8	52
28.9	56
29.7	31
29.8	29
32.5	100
36.7	29
37.4	37
60.3	27

a b c (Å): 7.3378 6.9138 9.6289
angles (deg): 90.00 109.42 90.00
Space group P2_1/m (No. 11)
Symmetry-distinct sites (fractional):
La 0.0054 0.0048 0.2280 (multiplicity 4)
La 0.3857 0.7500 0.5591 (multiplicity 2)
La 0.4243 0.7500 0.1441 (multiplicity 2)
Bi 0.2103 0.2500 0.5480 (multiplicity 2)
Bi 0.2923 0.2500 0.0734 (multiplicity 2)
C 0.2280 0.7500 0.3015 (multiplicity 2)



Entry 4:
Simulated powder diffraction line list of Nb8GaH6 for Cu Kα, from a crystal structure in Alexandria, relaxed with GGA-PBE.
Kinematic intensities with the Lorentz-polarization factor, no thermal factor.

Principal peaks in the range 10° ≤ 2θ ≤ 90°, sorted by position:
2θ/deg	I/Imax
23.4	1
37.1	100
53.5	17
67.0	25
67.0	8
79.1	5
79.2	5

a b c (Å): 8.3788 8.3788 8.9024
angles (deg): 90.00 90.00 120.00
Space group R-3 (No. 148, hexagonal axes)
Symmetry-distinct sites (fractional):
Nb 0.0000 0.0000 0.1762 (multiplicity 6)
Nb 0.0019 0.6599 0.9414 (multiplicity 18)
Ga 0.0000 0.0000 0.5000 (multiplicity 3)
H 0.0751 0.2409 0.9005 (multiplicity 18)



Entry 5:
Simulated powder diffraction line list of Ni11Ge2Se4 for Cu Kα, from a crystal structure in Alexandria, relaxed with GGA-PBE.
Kinematic intensities with the Lorentz-polarization factor, no thermal factor.

Principal peaks in the range 10° ≤ 2θ ≤ 90°, sorted by position:
2θ/deg	I/Imax
28.6	27
40.2	50
46.1	100
49.5	14
50.3	48
51.3	9
73.3	16
73.9	14
82.3	9
87.6	9

a b c (Å): 3.6289 3.6289 18.4051
angles (deg): 90.00 90.00 90.00
Space group P4mm (No. 99)
Symmetry-distinct sites (fractional):
Ni 0.0000 0.0000 0.0000 (multiplicity 1)
Ni 0.0000 0.0000 0.3003 (multiplicity 1)
Ni 0.0000 0.5000 0.0955 (multiplicity 2)
Ni 0.0000 0.5000 0.4056 (multiplicity 2)
Ni 0.0000 0.5000 0.5967 (multiplicity 2)
Ni 0.0000 0.5000 0.9048 (multiplicity 2)
Ni 0.5000 0.5000 0.5014 (multiplicity 1)
Ge 0.0000 0.0000 0.5001 (multiplicity 1)
Ge 0.5000 0.5000 0.0000 (multiplicity 1)
Se 0.0000 0.0000 0.1755 (multiplicity 1)
Se 0.0000 0.0000 0.8247 (multiplicity 1)
Se 0.5000 0.5000 0.3173 (multiplicity 1)
Se 0.5000 0.5000 0.6767 (multiplicity 1)



Entry 6:
Simulated powder diffraction line list of KAg6 for Cu Kα, from a crystal structure in Alexandria, relaxed with GGA-PBE.
Kinematic intensities with the Lorentz-polarization factor, no thermal factor.

Principal peaks in the range 10° ≤ 2θ ≤ 90°, sorted by position:
2θ/deg	I/Imax
15.4	23
19.8	46
31.2	20
32.7	33
34.0	55
34.2	38
37.8	50
39.8	50
40.2	85
40.5	100

a b c (Å): 9.2373 5.7278 11.4870
angles (deg): 90.00 90.00 90.00
Space group Pnma (No. 62)
Symmetry-distinct sites (fractional):
K 0.2409 0.2500 0.0626 (multiplicity 4)
Ag 0.0620 0.0061 0.3078 (multiplicity 8)
Ag 0.0658 0.7500 0.0921 (multiplicity 4)
Ag 0.1060 0.2500 0.5181 (multiplicity 4)
Ag 0.1500 0.7500 0.8530 (multiplicity 4)
Ag 0.1850 0.2500 0.7597 (multiplicity 4)



Entry 7:
Simulated powder diffraction line list of Mg3Hg2 for Cu Kα, from a crystal structure in Alexandria, relaxed with GGA-PBE.
Kinematic intensities with the Lorentz-polarization factor, no thermal factor.

Principal peaks in the range 10° ≤ 2θ ≤ 90°, sorted by position:
2θ/deg	I/Imax
15.1	19
21.4	34
26.4	80
37.6	100
46.5	22
49.2	12
54.2	18
61.3	27
67.9	27
86.3	11

a b c (Å): 4.7860 4.7860 5.8500
angles (deg): 90.00 90.00 120.00
Space group P-3m1 (No. 164)
Symmetry-distinct sites (fractional):
Mg 0.0000 0.0000 0.0000 (multiplicity 1)
Mg 0.3333 0.6667 0.3377 (multiplicity 2)
Hg 0.3333 0.6667 0.8224 (multiplicity 2)



Entry 8:
Simulated powder diffraction line list of Ti3SnRu4 for Cu Kα, from a crystal structure in Alexandria, relaxed with GGA-PBE.
Kinematic intensities with the Lorentz-polarization factor, no thermal factor.

Principal peaks in the range 10° ≤ 2θ ≤ 90°, sorted by position:
2θ/deg	I/Imax
10.0	4
28.7	5
40.9	100
41.1	20
59.0	7
59.4	13
74.4	13
74.5	13
74.7	13
88.6	8

a b c (Å): 3.1296 4.3955 8.8170
angles (deg): 90.00 90.00 90.00
Space group Pmmm (No. 47)
Symmetry-distinct sites (fractional):
Ti 0.0000 0.0000 0.0000 (multiplicity 1)
Ti 0.0000 0.5000 0.2472 (multiplicity 2)
Sn 0.0000 0.0000 0.5000 (multiplicity 1)
Ru 0.5000 0.0000 0.2402 (multiplicity 2)
Ru 0.5000 0.5000 0.0000 (multiplicity 1)
Ru 0.5000 0.5000 0.5000 (multiplicity 1)